Computed XRD peak list of Na4Br3N2 for Cu Kα, from a cell relaxed with PBE.
No peak broadening, texture or thermal motion is included.

Crystal structure
```
data_Na4Br3N2
_symmetry_space_group_name_H-M 'P 1'
_symmetry_Int_Tables_number 1
_cell_length_a 8.084
_cell_length_b 8.084
_cell_length_c 7.962
_cell_angle_alpha 92.74
_cell_angle_beta 92.74
_cell_angle_gamma 60.40
loop_
_symmetry_equiv_pos_as_xyz
'x,y,z'
loop_
_atom_site_label
_atom_site_type_symbol
_atom_site_fract_x
_atom_site_fract_y
_atom_site_fract_z
_atom_site_occupancy
Na1 Na 0.186 0.712 0.965 1
Na2 Na 0.221 0.340 0.683 1
Na3 Na 0.288 0.814 0.535 1
Na4 Na 0.340 0.221 0.183 1
Na5 Na 0.660 0.779 0.817 1
Na6 Na 0.712 0.186 0.465 1
Na7 Na 0.779 0.660 0.317 1
Na8 Na 0.814 0.288 0.035 1
Br1 Br 0.020 0.246 0.386 1
Br2 Br 0.246 0.020 0.886 1
Br3 Br 0.456 0.544 0.250 1
Br4 Br 0.544 0.456 0.750 1
Br5 Br 0.754 0.980 0.114 1
Br6 Br 0.980 0.754 0.614 1
N1 N 0.084 0.470 0.003 1
N2 N 0.470 0.084 0.503 1
N3 N 0.530 0.916 0.497 1
N4 N 0.916 0.530 0.997 1
```

Top 8 peaks for 10 to 80 degrees two-theta, in order of falling intensity:
2θ/deg  I (rel.)
25.18  100
22.02  89
27.47  77
26.06  65
35.27  54
33.96  47
36.57  47
24.59  46